No. 1
For Co4Ir3, a crystal structure in Alexandria, relaxed with GGA-PBE gives the calculated X-ray diffraction stick pattern in this record (Cu Kα (λ = 1.5418 Å)).
Kinematic intensities with the Lorentz-polarization factor, no thermal factor.

Structural model:
Lattice parameters (Å, degrees): 5.178 5.871 6.372 111.65 91.39 103.08
Space group P-1 (No. 2)
Symmetry-distinct sites (fractional):
Co 0.000 0.000 0.000
Co 0.071 0.282 0.425
Co 0.213 0.858 0.282
Co 0.354 0.424 0.142
Co 0.500 0.000 0.000
Ir 0.142 0.577 0.858
Ir 0.281 0.143 0.719
Ir 0.429 0.716 0.571

Largest 10 diffraction maxima, by intensity, 2θ from 5° to 70°:
hkl 0 2 1, 2θ 42.58, I 100; hkl 0 3 -2, 2θ 49.05, I 33; hkl 1 0 1, 2θ 24.68, I 22; hkl 1 1 -2, 2θ 34.14, I 20; hkl 2 0 2, 2θ 50.62, I 15; hkl 1 2 2, 2θ 62.47, I 8; hkl 1 -3 3, 2θ 55.68, I 5; hkl 1 3 -1, 2θ 55.66, I 5; hkl 0 1 -1, 2θ 17.73, I 2; hkl 0 0 1, 2θ 15.06, I 1

---

No. 2
For La8CoIr3, a crystal structure in Alexandria, relaxed with GGA-PBE gives the calculated X-ray diffraction stick pattern in this record (Cu Kα (λ = 1.5418 Å)).
Kinematic intensities with the Lorentz-polarization factor, no thermal factor.

Structural model:
Lattice parameters (Å, degrees): 13.376 8.516 7.908 90.00 119.86 90.00
Space group C2/m (No. 12)
Symmetry-distinct sites (fractional):
La 0.003 0.244 0.241
La 0.242 0.000 0.248
La 0.245 0.500 0.253
Co 0.000 0.000 0.000
Ir 0.000 0.500 0.000
Ir 0.250 0.250 0.500

Largest 10 diffraction maxima, by intensity, 2θ from 5° to 70°:
hkl 2 2 -2, 2θ 30.96, I 100; hkl 2 2 2, 2θ 42.42, I 64; hkl 2 0 -1, 2θ 14.27, I 56; hkl 4 0 0, 2θ 30.83, I 51; hkl 6 2 -2, 2θ 46.06, I 33; hkl 2 0 1, 2θ 24.59, I 32; hkl 4 4 0, 2θ 53.40, I 32; hkl 2 2 0, 2θ 25.97, I 17; hkl 4 0 -4, 2θ 46.18, I 16; hkl 0 2 3, 2θ 45.01, I 13

---

Copy entry 2 word for word.
For La8CoIr3, a crystal structure in Alexandria, relaxed with GGA-PBE gives the calculated X-ray diffraction stick pattern in this record (Cu Kα (λ = 1.5418 Å)).
Kinematic intensities with the Lorentz-polarization factor, no thermal factor.

Structural model:
Lattice parameters (Å, degrees): 13.376 8.516 7.908 90.00 119.86 90.00
Space group C2/m (No. 12)
Symmetry-distinct sites (fractional):
La 0.003 0.244 0.241
La 0.242 0.000 0.248
La 0.245 0.500 0.253
Co 0.000 0.000 0.000
Ir 0.000 0.500 0.000
Ir 0.250 0.250 0.500

Largest 10 diffraction maxima, by intensity, 2θ from 5° to 70°:
hkl 2 2 -2, 2θ 30.96, I 100; hkl 2 2 2, 2θ 42.42, I 64; hkl 2 0 -1, 2θ 14.27, I 56; hkl 4 0 0, 2θ 30.83, I 51; hkl 6 2 -2, 2θ 46.06, I 33; hkl 2 0 1, 2θ 24.59, I 32; hkl 4 4 0, 2θ 53.40, I 32; hkl 2 2 0, 2θ 25.97, I 17; hkl 4 0 -4, 2θ 46.18, I 16; hkl 0 2 3, 2θ 45.01, I 13